This entry pairs a crystal structure of SmTm3Sc5 with its simulated powder X-ray diffraction pattern. Radiation: Cu Kα (λ = 1.5418 Å). Structure: a structure optimized by DFT (PBE).
Kinematic intensities with the Lorentz-polarization factor, no thermal factor.

Main lines, in order of rising 2θ (10° ≤ 2θ ≤ 90°):
two_theta	Rel. int.
19.62	205
21.49	204
24.89	949
30.59	1000
33.13	941
39.83	614
43.84	221
45.68	443
51.04	246
59.18	185
63.68	210
69.46	263

Atomic structure:
a b c (Å): 9.2323 9.2323 9.2323
angles (deg): 126.78 126.78 78.60
Fractional positions:
Sm  0.2500  0.7500  0.5000
Sm  0.7500  0.2500  0.5000
Tm  0.1201  0.6201  0.7403
Tm  0.2500  0.2500  0.0000
Tm  0.3799  0.1201  0.5000
Tm  0.6201  0.8799  0.5000
Tm  0.7500  0.7500  0.0000
Tm  0.8799  0.3799  0.2597
Sc  0.0000  0.0000  0.0000
Sc  0.0683  0.1627  0.5000
Sc  0.1627  0.6627  0.0944
Sc  0.3373  0.4317  0.5000
Sc  0.4317  0.9317  0.0944
Sc  0.5000  0.5000  0.0000
Sc  0.5683  0.0683  0.9056
Sc  0.6627  0.5683  0.5000
Sc  0.8373  0.3373  0.9056
Sc  0.9317  0.8373  0.5000

***

This entry pairs a crystal structure of Sm3Tm8Sc with its simulated powder X-ray diffraction pattern. Radiation: Cu Kα (λ = 1.5418 Å). Structure: a structure optimized by DFT (PBE).
Kinematic intensities with the Lorentz-polarization factor, no thermal factor.

Main lines, in order of rising 2θ (10° ≤ 2θ ≤ 90°):
two_theta	Rel. int.
24.38	929
26.07	890
29.24	810
32.04	800
33.42	783
36.62	1000
38.43	300
43.92	436
45.00	622
56.79	302
60.12	359
70.24	305

Atomic structure:
a b c (Å): 8.2785 8.2785 8.2785
angles (deg): 117.11 117.11 95.08
Fractional positions:
Sm  0.0000  0.0000  0.0000
Sm  0.2500  0.7500  0.5000
Sm  0.7500  0.2500  0.5000
Tm  0.1360  0.3882  0.0000
Tm  0.2399  0.2399  0.5340
Tm  0.2941  0.7601  0.0000
Tm  0.3882  0.1360  0.0000
Tm  0.6118  0.6118  0.7478
Tm  0.7059  0.7059  0.4660
Tm  0.7601  0.2941  0.0000
Tm  0.8640  0.8640  0.2522
Sc  0.5000  0.5000  0.0000

***

This entry pairs a crystal structure of Sm4Tm2Sc with its simulated powder X-ray diffraction pattern. Radiation: Cu Kα (λ = 1.5418 Å). Structure: a structure optimized by DFT (PBE).
Kinematic intensities with the Lorentz-polarization factor, no thermal factor.

Main lines, in order of rising 2θ (10° ≤ 2θ ≤ 90°):
two_theta	Rel. int.
29.14	132
30.85	1000
31.42	387
32.10	602
32.86	422
33.00	319
37.86	224
45.42	121
51.55	200
56.45	182
62.04	143
63.89	114

Atomic structure:
a b c (Å): 12.2923 6.6676 13.2464
angles (deg): 67.07 29.97 82.96
Fractional positions:
Sm  0.0015  0.5693  0.7854
Sm  0.0177  0.9823  0.1216
Sm  0.1284  0.3716  0.2323
Sm  0.3716  0.1284  0.2677
Sm  0.4646  0.6062  0.2485
Sm  0.5693  0.0015  0.6438
Sm  0.6062  0.4646  0.6807
Sm  0.9823  0.0177  0.8784
Tm  0.0669  0.5467  0.0012
Tm  0.2488  0.8648  0.1831
Tm  0.5467  0.0669  0.3852
Tm  0.8648  0.2488  0.7033
Sc  0.4976  0.4976  0.5024
Sc  0.7476  0.7476  0.7524